# KCr2FeO10
Simulated powder X-ray diffraction pattern, Cu Kα. Input: a cell relaxed with GGA+U.

Crystal structure
```
14
Lattice="5.598 -2.734 0.000 5.598 2.734 0.000 -3.620 0.000 7.328" Properties=species:S:1:pos:R:3 pbc="T T T"
K 0.000 0.000 0.000
Cr 3.610 0.000 1.708
Cr 3.965 0.000 5.620
Fe -1.810 0.000 3.664
O -0.136 0.000 4.323
O 4.323 1.429 2.381
O 3.252 1.429 4.946
O 2.015 0.000 1.928
O 3.964 0.000 0.129
O 3.611 0.000 7.199
O 5.560 0.000 5.400
O 4.323 -1.429 2.381
O 3.252 -1.429 4.946
O 7.711 0.000 3.005
```

Most intense lines, 2θ from 10° to 80°, by angle:
two_theta  Rel. int.
16.40  100
17.67  57
24.22  63
27.31  91
28.97  23
31.34  31
32.75  36
33.77  19
48.30  20
60.03  14